1.
The following is a computed powder XRD pattern of Co2Si. It was derived from the PBE geometry in the Materials Project, using λ = 1.5418 Å (Cu Kα).

Main lines, in order of rising 2θ (2θ = 5–70°):
d [Å]  two_theta  Rel. int.
2.726  32.86  20.0
2.264  39.81  22.4
2.117  42.72  15.7
2.040  44.40  53.9
2.007  45.17  37.5
1.985  45.71  100.0
1.960  46.32  72.6
1.856  49.08  51.3
1.693  54.18  23.1
1.363  68.90  19.2

Structure:
```
Co2Si
1.0
4.885 0.000 0.000
0.000 3.712 0.000
0.000 0.000 7.046
Co Si
8 4
direct
0.037 0.250 0.218
0.174 0.250 0.564
0.326 0.750 0.064
0.463 0.750 0.718
0.537 0.250 0.282
0.674 0.250 0.936
0.826 0.750 0.436
0.963 0.750 0.782
0.203 0.250 0.894
0.297 0.750 0.394
0.703 0.250 0.606
0.797 0.750 0.106
```



2.
The following is a computed powder XRD pattern of Co3Si. It was derived from the PBE geometry in the Materials Project, using λ = 1.5418 Å (Cu Kα).

Main lines, in order of rising 2θ (2θ = 5–70°):
d [Å]  two_theta  Rel. int.
4.310  20.61  3.3
2.921  30.61  9.4
2.488  36.10  3.9
2.155  41.92  25.4
1.986  45.67  26.0
1.894  48.03  100.0
1.804  50.60  0.6
1.552  59.55  1.6
1.507  61.53  1.9
1.461  63.72  13.4

Structure:
```
Co3Si
1.0
4.976 0.000 0.000
-2.488 4.310 0.000
0.000 0.000 3.973
Co Si
6 2
direct
0.167 0.335 0.250
0.167 0.833 0.250
0.335 0.167 0.750
0.665 0.833 0.250
0.833 0.167 0.750
0.833 0.665 0.750
0.333 0.667 0.750
0.667 0.333 0.250
```